# Sr2LiO12
Simulated XRD peak list, Cu Kα (λ = 1.5418 Å). Input: a DFT-relaxed cell (GGA-PBE, the Materials Project).
No peak broadening, texture or thermal motion is included.

Structural model:
Cell: 4.9868 6.0347 8.0816 Å, 78.38 72.09 69.58°
Space group P-1 (No. 2)
Asymmetric unit:
Sr  0.1433  0.3409  0.2474 x2
Li  0.0000  0.0000  0.0000 x1
O  0.0063  0.7343  0.3960 x2
O  0.0216  0.0653  0.7059 x2
O  0.1644  0.6371  0.9618 x2
O  0.3701  0.5540  0.8133 x2
O  0.4429  0.9738  0.9448 x2
O  0.4965  0.9069  0.5518 x2

Top 8 peaks for 2θ from 10° to 90°, by angle:
| 2θ (°) | I/Imax | hkl |
| --- | --- | --- |
| 18.6 | 100 | 0 1 1 |
| 19.7 | 36 | 1 0 0 |
| 20.1 | 39 | 1 0 1 |
| 21.1 | 62 | 1 1 0 |
| 23.3 | 33 | 0 0 2 |
| 29.6 | 36 | 0 1 -2 |
| 32.8 | 48 | 0 2 1 |
| 35.7 | 34 | 1 0 3 |